NdSc2Ge4: calculated XRD peak list (Cu Kα, 1.54184 Å), based on a crystal structure in Alexandria, relaxed with PBE.

Main lines, by angle (15° ≤ 2θ ≤ 90°):
Position (°2θ)  I (rel.)  index
26.2  20  0 1 3
32.9  100  1 1 2
33.1  21  0 1 5
33.9  18  1 0 5
37.4  22  1 1 4
42.2  28  1 0 7
43.7  24  0 2 0
43.9  15  1 1 6
46.0  20  2 0 0
62.3  17  1 2 7

a = 3.946 Å, b = 4.146 Å, c = 17.842 Å
α = 90.00°, β = 90.00°, γ = 90.00°
Space group Immm (No. 71)
One atom of each set of equivalent atoms:
1 Nd 0.000 0.000 0.000 [2 per cell]
2 Sc 0.000 0.500 0.319 [4 per cell]
3 Ge 0.000 0.000 0.429 [4 per cell]
4 Ge 0.000 0.500 0.165 [4 per cell]